(1)
Structure and simulated powder X-ray diffraction pattern of Pa3MnSe6 (a cell relaxed with PBE; a wavelength of 1.5418 Å).
Kinematic intensities with the Lorentz-polarization factor, no thermal factor.

Atomic structure:
```
Pa3MnSe6
1.0
5.620 -6.781 0.000
5.620 6.781 0.000
0.000 0.000 6.725
Pa Mn Se
6 2 12
direct
0.107 0.893 0.500 Pa
0.230 0.433 0.597 Pa
0.433 0.230 0.097 Pa
0.567 0.770 0.597 Pa
0.770 0.567 0.097 Pa
0.893 0.107 0.000 Pa
0.294 0.706 0.180 Mn
0.706 0.294 0.680 Mn
0.047 0.586 0.337 Se
0.130 0.197 0.298 Se
0.197 0.130 0.798 Se
0.271 0.729 0.801 Se
0.414 0.953 0.337 Se
0.468 0.532 0.297 Se
0.532 0.468 0.797 Se
0.586 0.047 0.837 Se
0.729 0.271 0.301 Se
0.803 0.870 0.298 Se
0.870 0.803 0.798 Se
0.953 0.414 0.837 Se
```

Most intense lines, 15° ≤ 2θ ≤ 90°, by angle:
d_spacing, Rel. int.
5.310, 70
3.639, 100
3.559, 80
2.651, 71
2.461, 95
2.388, 60
2.197, 77
1.874, 33

---

(2)
Structure and simulated powder X-ray diffraction pattern of PaMnSe3 (a cell relaxed with PBE; a wavelength of 1.5418 Å).
Kinematic intensities with the Lorentz-polarization factor, no thermal factor.

Atomic structure:
```
PaMnSe3
1.0
7.399 0.000 0.000
0.000 6.707 0.000
0.000 0.000 9.743
Pa Mn Se
4 4 12
direct
0.126 0.062 0.000 Pa
0.374 0.562 0.500 Pa
0.626 0.438 0.000 Pa
0.874 0.938 0.500 Pa
0.210 0.616 0.125 Mn
0.290 0.116 0.625 Mn
0.710 0.884 0.125 Mn
0.790 0.384 0.625 Mn
0.065 0.311 0.490 Se
0.151 0.801 0.687 Se
0.176 0.833 0.328 Se
0.324 0.333 0.828 Se
0.349 0.301 0.187 Se
0.435 0.811 0.990 Se
0.565 0.189 0.490 Se
0.651 0.699 0.687 Se
0.676 0.667 0.328 Se
0.824 0.167 0.828 Se
0.849 0.199 0.187 Se
0.935 0.689 0.990 Se
```

Most intense lines, 15° ≤ 2θ ≤ 90°, by angle:
d_spacing, Rel. int.
4.969, 73
4.871, 75
4.427, 64
2.916, 90
2.718, 100
2.697, 81
2.439, 66
2.408, 71